# 1
For Ac2H6RuRh, the PBE geometry in Alexandria gives the computed XRD peak list in this record (Cu Kα (λ = 1.5418 Å)).
Lines closer than 0.1° are merged.

Most intense lines, 2θ = 15–90°, in order of rising 2θ:
d (Å)	2theta	intensity
3.826	23.3	13.4
2.781	32.2	100.0
2.705	33.1	47.0
2.025	44.8	10.0
1.917	47.4	8.9
1.909	47.6	8.8
1.621	56.8	19.5
1.578	58.5	18.6
1.574	58.6	18.4
1.273	74.5	8.6

Crystal structure
```
data_Ac2H6RuRh
_chemical_formula_sum 'Ac8 H24 Ru4 Rh4'
_symmetry_space_group_name_H-M 'F m m 2'
_symmetry_Int_Tables_number 42
_symmetry_space_group_name_Hall 'F 2 -2'
_cell_length_a 7.636
_cell_length_b 7.667
_cell_length_c 8.100
_cell_angle_alpha 90.00
_cell_angle_beta 90.00
_cell_angle_gamma 90.00
loop_
_atom_site_label
_atom_site_type_symbol
_atom_site_fract_x
_atom_site_fract_y
_atom_site_fract_z
Ac1 Ac 0.250 0.250 0.000
H1 H 0.000 0.000 0.015
H2 H 0.000 0.000 0.458
H3 H 0.000 0.244 0.249
H4 H 0.245 0.000 0.249
Ru1 Ru 0.000 0.000 0.241
Rh1 Rh 0.000 0.000 0.771
```

***

# 2
For BaSrGdNbO6, the PBE geometry in Alexandria gives the computed XRD peak list in this record (Cu Kα (λ = 1.5418 Å)).
Lines closer than 0.1° are merged.

Most intense lines, 2θ = 15–90°, in order of rising 2θ:
d (Å)	2theta	intensity
3.013	29.6	49.1
3.001	29.8	100.0
2.130	42.4	14.3
2.122	42.6	27.8
1.738	52.7	21.9
1.733	52.8	20.6
1.731	52.9	16.2
1.500	61.8	16.2
1.342	70.1	11.3
1.133	85.7	9.0

Crystal structure
```
data_BaSrGdNbO6
_chemical_formula_sum 'Ba2 Sr2 Gd2 Nb2 O12'
_symmetry_space_group_name_H-M 'P -1'
_symmetry_Int_Tables_number 2
_cell_length_a 6.003
_cell_length_b 6.019
_cell_length_c 8.495
_cell_angle_alpha 89.73
_cell_angle_beta 89.75
_cell_angle_gamma 89.77
loop_
_symmetry_equiv_pos_as_xyz
'x,y,z'
'-x,-y,-z'
loop_
_atom_site_label
_atom_site_type_symbol
_atom_site_fract_x
_atom_site_fract_y
_atom_site_fract_z
Ba1 Ba 0.005 0.018 0.250
Sr1 Sr 0.496 0.526 0.249
Gd1 Gd 0.000 0.500 0.000
Gd2 Gd 0.500 0.000 0.500
Nb1 Nb 0.000 0.500 0.500
Nb2 Nb 0.500 0.000 0.000
O1 O 0.075 0.489 0.734
O2 O 0.207 0.762 0.474
O3 O 0.234 0.796 0.020
O4 O 0.264 0.296 0.453
O5 O 0.303 0.271 0.045
O6 O 0.444 0.042 0.766
```